[1]
Simulated XRD peak list
Compound: SrTaAs2Ru
Radiation: Cu Kα X-rays
Structure: a crystal structure in Alexandria, relaxed with GGA-PBE
Neutral-atom scattering factors, no anomalous dispersion.

Largest 12 diffraction maxima, by intensity, 2θ = 5–70°:
two_theta	I (rel.)
34.5	100
13.2	74
41.8	53
30.0	51
45.5	47
52.1	34
40.4	20
55.5	18
26.5	17
66.3	15
54.5	14
47.6	12

Structural model:
```
SrTaAs2Ru
1.0
-1.993 1.993 6.731
1.993 -1.993 6.731
1.993 1.993 -6.731
Sr Ta As Ru
1 1 2 1
direct
0.000 0.000 0.000
0.750 0.250 0.500
0.372 0.372 0.000
0.628 0.628 0.000
0.250 0.750 0.500
```

=====

[2]
Simulated XRD peak list
Compound: HfTlCdF7
Radiation: Cu Kα X-rays
Structure: a crystal structure in Alexandria, relaxed with GGA-PBE
Neutral-atom scattering factors, no anomalous dispersion.

Largest 12 diffraction maxima, by intensity, 2θ = 5–70°:
two_theta	I (rel.)
25.7	100
27.1	100
26.1	82
25.8	69
37.0	55
47.5	48
50.7	36
46.3	33
45.4	31
42.1	30
64.3	24
50.0	23

Structural model:
```
HfTlCdF7
1.0
3.453 -5.626 0.000
3.453 5.626 0.000
0.000 0.000 8.589
Hf Tl Cd F
2 2 2 14
direct
0.192 0.808 0.750
0.808 0.192 0.250
0.500 0.500 0.000
0.500 0.500 0.500
0.190 0.810 0.250
0.810 0.190 0.750
0.012 0.988 0.750
0.151 0.435 0.250
0.172 0.478 0.750
0.201 0.799 0.516
0.201 0.799 0.984
0.435 0.151 0.750
0.478 0.172 0.250
0.522 0.828 0.750
0.565 0.849 0.250
0.799 0.201 0.016
0.799 0.201 0.484
0.828 0.522 0.250
0.849 0.565 0.750
0.988 0.012 0.250
```

=====

[3]
Simulated XRD peak list
Compound: PmSm4Mg3
Radiation: Cu Kα X-rays
Structure: a crystal structure in Alexandria, relaxed with GGA-PBE
Neutral-atom scattering factors, no anomalous dispersion.

Largest 12 diffraction maxima, by intensity, 2θ = 5–70°:
two_theta	I (rel.)
32.6	100
32.1	26
22.4	26
31.8	26
57.5	20
45.8	19
57.1	18
23.3	12
68.2	11
58.6	9
58.4	9
47.7	9

Structural model:
```
PmSm4Mg3
1.0
3.815 0.000 0.000
0.000 5.579 0.000
0.000 0.000 11.270
Pm Sm Mg
1 4 3
direct
0.000 0.000 0.000
0.500 0.000 0.264
0.500 0.000 0.736
0.500 0.500 0.000
0.500 0.500 0.500
0.000 0.000 0.500
0.000 0.500 0.252
0.000 0.500 0.748
```

=====

[4]
Simulated XRD peak list
Compound: Li2CaGaGe2
Radiation: Cu Kα X-rays
Structure: a crystal structure in Alexandria, relaxed with GGA-PBE
Neutral-atom scattering factors, no anomalous dispersion.

Largest 12 diffraction maxima, by intensity, 2θ = 5–70°:
two_theta	I (rel.)
34.7	100
42.7	89
16.8	55
40.7	53
33.6	52
11.3	50
26.0	50
27.0	49
23.9	47
24.8	45
44.4	36
48.2	36

Structural model:
```
Li2CaGaGe2
1.0
4.234 0.000 0.000
0.000 7.816 0.000
0.000 0.000 7.173
Li Ca Ga Ge
4 2 2 4
direct
0.000 0.070 0.000
0.000 0.930 0.500
0.500 0.181 0.321
0.500 0.819 0.821
0.500 0.427 0.955
0.500 0.573 0.455
0.000 0.309 0.614
0.000 0.691 0.114
0.000 0.366 0.246
0.000 0.634 0.746
0.500 0.123 0.687
0.500 0.877 0.187
```

=====

[5]
Simulated XRD peak list
Compound: Nd12Os5C15
Radiation: Cu Kα X-rays
Structure: a crystal structure in Alexandria, relaxed with GGA-PBE
Neutral-atom scattering factors, no anomalous dispersion.

Largest 12 diffraction maxima, by intensity, 2θ = 5–70°:
two_theta	I (rel.)
29.9	100
33.9	41
33.5	40
48.5	30
32.8	24
36.8	19
57.8	16
19.0	10
38.0	9
66.8	8
43.6	8
56.1	8

Structural model:
```
Nd12Os5C15
1.0
10.994 0.000 0.000
-5.497 9.521 0.000
0.000 0.000 5.344
Nd Os C
12 5 15
direct
0.000 0.430 0.000
0.000 0.793 0.000
0.184 0.727 0.500
0.207 0.207 0.000
0.273 0.458 0.500
0.430 0.000 0.000
0.458 0.273 0.500
0.542 0.816 0.500
0.570 0.570 0.000
0.727 0.184 0.500
0.793 0.000 0.000
0.816 0.542 0.500
0.000 0.161 0.500
0.161 0.000 0.500
0.333 0.667 0.000
0.667 0.333 0.000
0.839 0.839 0.500
0.000 0.332 0.500
0.000 0.453 0.500
0.000 0.800 0.500
0.186 0.712 0.000
0.200 0.200 0.500
0.288 0.474 0.000
0.332 0.000 0.500
0.453 0.000 0.500
0.474 0.288 0.000
0.526 0.814 0.000
0.547 0.547 0.500
0.668 0.668 0.500
0.712 0.186 0.000
0.800 0.000 0.500
0.814 0.526 0.000
```

=====

[6]
Simulated XRD peak list
Compound: Sm4Sb2Rh
Radiation: Cu Kα X-rays
Structure: a crystal structure in Alexandria, relaxed with GGA-PBE
Neutral-atom scattering factors, no anomalous dispersion.

Largest 12 diffraction maxima, by intensity, 2θ = 5–70°:
two_theta	I (rel.)
27.0	100
35.1	72
42.1	42
27.3	38
41.6	25
35.0	23
13.5	19
68.8	15
45.6	15
50.5	14
55.5	12
27.1	10

Structural model:
```
Sm4Sb2Rh
1.0
7.909 -2.170 0.000
7.909 2.170 0.000
-3.411 0.000 6.573
Sm Sb Rh
4 2 1
direct
0.115 0.115 0.426
0.383 0.383 0.022
0.617 0.617 0.978
0.885 0.885 0.574
0.266 0.266 0.267
0.734 0.734 0.733
0.000 0.000 0.000
```

=====

[7]
Simulated XRD peak list
Compound: Ac2PuZn3Pt4
Radiation: Cu Kα X-rays
Structure: a crystal structure in Alexandria, relaxed with GGA-PBE
Neutral-atom scattering factors, no anomalous dispersion.

Largest 12 diffraction maxima, by intensity, 2θ = 5–70°:
two_theta	I (rel.)
32.7	100
40.7	50
31.2	28
69.1	24
25.6	18
59.0	17
43.2	17
45.2	17
37.9	15
52.2	13
62.4	13
65.2	10

Structural model:
```
Ac2PuZn3Pt4
1.0
4.429 0.000 0.000
0.000 4.429 0.000
0.000 0.000 11.256
Ac Pu Zn Pt
2 1 3 4
direct
0.000 0.500 0.226
0.500 0.000 0.774
0.000 0.000 0.500
0.000 0.500 0.884
0.500 0.000 0.116
0.500 0.500 0.500
0.000 0.000 0.000
0.000 0.500 0.656
0.500 0.000 0.344
0.500 0.500 0.000
```

=====

[8]
Simulated XRD peak list
Compound: CuB2N
Radiation: Cu Kα X-rays
Structure: a crystal structure in Alexandria, relaxed with GGA-PBE
Neutral-atom scattering factors, no anomalous dispersion.

Largest 8 diffraction maxima, by intensity, 2θ = 5–70°:
two_theta	I (rel.)
39.8	100
24.1	44
47.1	25
47.0	13
57.7	12
63.3	7
63.4	6
57.4	4

Structural model:
```
CuB2N
1.0
-2.260 2.260 3.209
2.260 -2.260 3.209
2.260 2.260 -3.209
Cu B N
2 4 2
direct
0.000 0.000 0.000
0.750 0.250 0.500
0.217 0.625 0.092
0.375 0.467 0.592
0.533 0.125 0.908
0.875 0.783 0.408
0.250 0.750 0.500
0.500 0.500 0.000
```